[1]
Diffraction record for SrFe3As. The powder XRD pattern is simulated, not measured: it uses a structure optimized by DFT (PBE) and CuKα.
Peak positions follow from Bragg's law for the DFT cell and can differ from measured ones.

Most intense lines, 10 to 90 degrees two-theta, by angle:
Position (°2θ)	intensity	(hkl)
19.24	13	1 0 0
27.35	50	1 1 0
33.66	61	1 1 1
39.06	100	2 0 0
48.34	21	2 1 1
56.43	65	2 2 0
67.33	21	3 1 1
70.76	21	2 2 2

Crystal structure
abc: 4.6123 4.6123 4.6123
angles: 90.00 90.00 90.00
Space group Pm-3m (No. 221)
Asymmetric unit:
1 Sr 0.0000 0.0000 0.0000
2 Fe 0.0000 0.5000 0.5000
3 As 0.5000 0.5000 0.5000

[2]
Diffraction record for TbDy4Ho10. The powder XRD pattern is simulated, not measured: it uses a structure optimized by DFT (PBE) and CuKα.
Peak positions follow from Bragg's law for the DFT cell and can differ from measured ones.

Most intense lines, 10 to 90 degrees two-theta, by angle:
Position (°2θ)	intensity	(hkl)
20.16	25	2 1 1
23.32	14	1 3 0
33.22	100	4 2 0
39.17	14	5 0 1
47.69	18	2 6 0
59.36	38	7 1 2
69.74	12	8 4 0
79.47	17	10 0 0

Crystal structure
abc: 12.0641 12.0641 7.6228
angles: 90.00 90.00 90.00
Space group I4/m (No. 87)
Asymmetric unit:
1 Tb 0.0000 0.0000 0.0000
2 Dy 0.1003 0.2998 0.5000
3 Ho 0.0000 0.5000 0.2500
4 Ho 0.0997 0.7997 0.2502

[3]
Diffraction record for SbRh3. The powder XRD pattern is simulated, not measured: it uses a structure optimized by DFT (PBE) and CuKα.
Peak positions follow from Bragg's law for the DFT cell and can differ from measured ones.

Most intense lines, 10 to 90 degrees two-theta, by angle:
Position (°2θ)	intensity	(hkl)
39.39	100	1 1 1
45.80	48	2 0 0
66.77	31	2 2 0
80.37	36	3 1 1
84.75	11	2 2 2

Crystal structure
abc: 3.9625 3.9625 3.9625
angles: 90.00 90.00 90.00
Space group Pm-3m (No. 221)
Asymmetric unit:
1 Sb 0.0000 0.0000 0.0000
2 Rh 0.0000 0.5000 0.5000

[4]
Diffraction record for Mn2HgBr. The powder XRD pattern is simulated, not measured: it uses a structure optimized by DFT (PBE) and CuKα.
Peak positions follow from Bragg's law for the DFT cell and can differ from measured ones.

Most intense lines, 10 to 90 degrees two-theta, by angle:
Position (°2θ)	intensity	(hkl)
13.78	98	0 0 1
22.89	66	2 0 0
23.98	37	2 0 -2
29.67	49	1 1 0
36.14	100	1 1 -2
38.29	39	4 0 -2
40.75	34	3 1 -2
44.65	53	3 1 0

Crystal structure
abc: 9.4138 3.2667 7.7873
angles: 90.00 124.37 90.00
Space group C2/m (No. 12)
Asymmetric unit:
1 Mn 0.1459 0.0000 0.3346
2 Hg 0.0000 0.5000 0.5000
3 Br 0.0000 0.5000 0.0000

[5]
Diffraction record for Cs3Pt2. The powder XRD pattern is simulated, not measured: it uses a structure optimized by DFT (PBE) and CuKα.
Peak positions follow from Bragg's law for the DFT cell and can differ from measured ones.

Most intense lines, 10 to 90 degrees two-theta, by angle:
Position (°2θ)	intensity	(hkl)
14.86	61	2 2 0
15.68	25	0 4 0
27.22	50	1 5 1
29.98	100	4 4 0
31.66	43	0 8 0
37.85	32	2 0 2
41.20	34	2 4 2
56.00	25	6 4 2

Crystal structure
abc: 14.0329 22.6096 5.0521
angles: 90.00 90.00 90.00
Space group Fdd2 (No. 43)
Asymmetric unit:
1 Cs 0.0000 0.0000 0.0000
2 Cs 0.1036 0.3771 0.9487
3 Pt 0.0080 0.2610 0.5280

[6]
Diffraction record for Y2Ni3Rh. The powder XRD pattern is simulated, not measured: it uses a structure optimized by DFT (PBE) and CuKα.
Peak positions follow from Bragg's law for the DFT cell and can differ from measured ones.

Most intense lines, 10 to 90 degrees two-theta, by angle:
Position (°2θ)	intensity	(hkl)
35.33	44	1 1 0
40.23	59	0 1 5
41.17	100	1 1 3
41.62	42	0 0 6
43.41	47	2 0 2
66.73	25	1 2 5
67.39	22	3 0 3
72.17	24	2 0 8

Crystal structure
abc: 5.0807 5.0807 13.0268
angles: 90.00 90.00 120.00
Space group R-3m (No. 166, hexagonal axes)
Asymmetric unit:
1 Y 0.0000 0.0000 0.1228
2 Ni 0.0000 0.5000 0.0000
3 Rh 0.0000 0.0000 0.5000